Structure and computed powder X-ray diffraction pattern of PuAgH2Cl8 (a structure optimized by DFT (PBE); Cu Kα).

Principal peaks in the range 2θ from 10° to 80°, by intensity:
| d [Å] | I/Imax |
| --- | --- |
| 7.232 | 100 |
| 6.820 | 90 |
| 5.043 | 43 |
| 4.884 | 43 |
| 3.237 | 41 |
| 2.952 | 29 |

Atomic structure:
a b c (Å): 6.8244 7.2375 7.3835
angles (deg): 88.86 89.34 88.13
Positions (direct):
Pu (0.0000, 0.0000, 0.0000)
Ag (0.0000, 0.0000, 0.5000)
H (0.2595, 0.3258, 0.6790)
H (0.7405, 0.6742, 0.3210)
Cl (0.2132, 0.8407, 0.7546)
Cl (0.2180, 0.8475, 0.2473)
Cl (0.2193, 0.2741, 0.9857)
Cl (0.2646, 0.3275, 0.5024)
Cl (0.7354, 0.6725, 0.4976)
Cl (0.7807, 0.7259, 0.0143)
Cl (0.7820, 0.1525, 0.7527)
Cl (0.7869, 0.1593, 0.2454)



Structure and computed powder X-ray diffraction pattern of AgHS2Cl (a structure optimized by DFT (PBE); Cu Kα).

Principal peaks in the range 2θ from 10° to 80°, by intensity:
| d [Å] | I/Imax |
| --- | --- |
| 2.442 | 100 |
| 3.657 | 96 |
| 7.311 | 45 |
| 1.776 | 39 |
| 1.638 | 30 |
| 3.276 | 29 |

Atomic structure:
a b c (Å): 3.6651 3.6651 7.3108
angles (deg): 90.00 90.00 90.00
Positions (direct):
Ag (0.0000, 0.0000, 0.0000)
H (0.5000, 0.5000, 0.5000)
S (0.0000, 0.5000, 0.5000)
S (0.5000, 0.0000, 0.5000)
Cl (0.5000, 0.5000, 0.0000)



Structure and computed powder X-ray diffraction pattern of HfAg3Cl7 (a structure optimized by DFT (PBE); Cu Kα).

Principal peaks in the range 2θ from 10° to 80°, by intensity:
| d [Å] | I/Imax |
| --- | --- |
| 5.809 | 100 |
| 3.401 | 43 |
| 2.661 | 39 |
| 3.813 | 28 |
| 3.317 | 26 |
| 4.140 | 26 |

Atomic structure:
a b c (Å): 7.7394 7.7394 7.6641
angles (deg): 114.81 114.81 61.38
Positions (direct):
Hf (0.0000, 0.0000, 0.0000)
Ag (0.2656, 0.7787, 0.4435)
Ag (0.4332, 0.4332, 0.8032)
Ag (0.7787, 0.2656, 0.4435)
Cl (0.0642, 0.6378, 0.8009)
Cl (0.0852, 0.0852, 0.7871)
Cl (0.3501, 0.9044, 0.2142)
Cl (0.5654, 0.5654, 0.6494)
Cl (0.6378, 0.0642, 0.8009)
Cl (0.8993, 0.8993, 0.2237)
Cl (0.9044, 0.3501, 0.2142)



Structure and computed powder X-ray diffraction pattern of KHfAgCl6 (a structure optimized by DFT (PBE); Cu Kα).

Principal peaks in the range 2θ from 10° to 80°, by intensity:
| d [Å] | I/Imax |
| --- | --- |
| 4.476 | 100 |
| 6.688 | 97 |
| 2.410 | 95 |
| 3.085 | 85 |
| 6.023 | 45 |
| 3.477 | 38 |

Atomic structure:
a b c (Å): 6.9546 6.9546 13.3760
angles (deg): 90.00 90.00 120.00
Positions (direct):
K (0.0000, 0.0000, 0.0000)
K (0.0000, 0.0000, 0.5000)
Hf (0.3333, 0.6667, 0.2500)
Hf (0.6667, 0.3333, 0.7500)
Ag (0.3333, 0.6667, 0.7500)
Ag (0.6667, 0.3333, 0.2500)
Cl (0.0359, 0.3874, 0.1426)
Cl (0.0359, 0.6485, 0.3574)
Cl (0.3515, 0.3874, 0.3574)
Cl (0.3515, 0.9641, 0.1426)
Cl (0.3874, 0.0359, 0.6426)
Cl (0.3874, 0.3515, 0.8574)
Cl (0.6126, 0.6485, 0.1426)
Cl (0.6126, 0.9641, 0.3574)
Cl (0.6485, 0.0359, 0.8574)
Cl (0.6485, 0.6126, 0.6426)
Cl (0.9641, 0.3515, 0.6426)
Cl (0.9641, 0.6126, 0.8574)